(1)
Structure and theoretical PXRD pattern of LiTc4W (DFT lattice parameters and positions (PBE); copper Kα).

abc: 5.0888 5.0888 5.0888
angles: 60.00 60.00 60.00
Element x y z (fractional)
Li (0.0000, 0.0000, 0.0000)
Tc (0.1236, 0.6255, 0.6255)
Tc (0.6255, 0.1236, 0.6255)
Tc (0.6255, 0.6255, 0.1236)
Tc (0.6255, 0.6255, 0.6255)
W (0.2500, 0.2500, 0.2500)

The 8 most intense peaks (15° ≤ 2θ ≤ 90°), most intense first:
| Position (°2θ) | d (Å) | intensity |
| --- | --- | --- |
| 41.62 | 2.170 | 100 |
| 43.56 | 2.078 | 45 |
| 67.64 | 1.385 | 31 |
| 21.39 | 4.155 | 30 |
| 24.74 | 3.598 | 25 |
| 74.60 | 1.272 | 24 |
| 35.27 | 2.544 | 22 |
| 89.25 | 1.097 | 12 |

---

(2)
Structure and theoretical PXRD pattern of LiTe3 (DFT lattice parameters and positions (PBE); copper Kα).

abc: 6.1409 6.1409 6.1409
angles: 90.00 90.00 90.00
Element x y z (fractional)
Li (0.0000, 0.0000, 0.0000)
Li (0.5000, 0.5000, 0.5000)
Te (0.0000, 0.0000, 0.5000)
Te (0.0000, 0.5000, 0.0000)
Te (0.0000, 0.5000, 0.5000)
Te (0.5000, 0.0000, 0.0000)
Te (0.5000, 0.0000, 0.5000)
Te (0.5000, 0.5000, 0.0000)

The 8 most intense peaks (15° ≤ 2θ ≤ 90°), most intense first:
| Position (°2θ) | d (Å) | intensity |
| --- | --- | --- |
| 29.08 | 3.070 | 100 |
| 41.60 | 2.171 | 75 |
| 20.45 | 4.342 | 47 |
| 68.31 | 1.373 | 34 |
| 51.56 | 1.773 | 27 |
| 75.91 | 1.254 | 25 |
| 35.82 | 2.507 | 23 |
| 60.29 | 1.535 | 12 |

---

(3)
Structure and theoretical PXRD pattern of LiTe3 (DFT lattice parameters and positions (PBE); copper Kα).

abc: 13.0955 4.3126 4.5136
angles: 90.00 110.03 90.00
Element x y z (fractional)
Li (0.0000, 0.0000, 0.0000)
Li (0.5000, 0.5000, 0.0000)
Te (0.0000, 0.5000, 0.5000)
Te (0.2446, 0.5000, 0.7446)
Te (0.2554, 0.0000, 0.2554)
Te (0.5000, 0.0000, 0.5000)
Te (0.7446, 0.0000, 0.7446)
Te (0.7554, 0.5000, 0.2554)

The 8 most intense peaks (15° ≤ 2θ ≤ 90°), most intense first:
| Position (°2θ) | d (Å) | intensity |
| --- | --- | --- |
| 28.63 | 3.118 | 100 |
| 41.23 | 2.190 | 73 |
| 29.03 | 3.076 | 48 |
| 20.96 | 4.237 | 25 |
| 21.84 | 4.070 | 22 |
| 39.95 | 2.257 | 20 |
| 51.78 | 1.766 | 19 |
| 41.90 | 2.156 | 18 |

---

(4)
Structure and theoretical PXRD pattern of Li6Te (DFT lattice parameters and positions (PBE); copper Kα).

abc: 7.0137 7.0137 7.0137
angles: 90.00 90.00 90.00
Element x y z (fractional)
Li (0.0000, 0.2500, 0.5000)
Li (0.0000, 0.5000, 0.2500)
Li (0.0000, 0.5000, 0.7500)
Li (0.0000, 0.7500, 0.5000)
Li (0.2500, 0.0000, 0.5000)
Li (0.2500, 0.5000, 0.0000)
Li (0.5000, 0.0000, 0.2500)
Li (0.5000, 0.0000, 0.7500)
Li (0.5000, 0.2500, 0.0000)
Li (0.5000, 0.7500, 0.0000)
Li (0.7500, 0.0000, 0.5000)
Li (0.7500, 0.5000, 0.0000)
Te (0.0000, 0.0000, 0.0000)
Te (0.5000, 0.5000, 0.5000)

The 8 most intense peaks (15° ≤ 2θ ≤ 90°), most intense first:
| Position (°2θ) | d (Å) | intensity |
| --- | --- | --- |
| 17.89 | 4.959 | 100 |
| 31.24 | 2.863 | 71 |
| 48.57 | 1.874 | 41 |
| 25.40 | 3.507 | 31 |
| 40.68 | 2.218 | 25 |
| 36.23 | 2.480 | 17 |
| 68.18 | 1.375 | 16 |
| 55.59 | 1.653 | 15 |